1.
Structure and theoretical X-ray powder pattern of Cs2Ho2TiSe6 (a crystal structure in Alexandria, relaxed with PBE; λ = 1.5418 Å (Cu Kα)).

Largest 12 diffraction maxima, sorted by position, 2θ from 15° to 90°:
| (hkl) | two_theta | Rel. int. |
| --- | --- | --- |
| 1 1 -1 | 16.11 | 16 |
| 1 1 1 | 20.32 | 13 |
| 0 0 2 | 20.78 | 12 |
| 2 0 -2 | 28.86 | 50 |
| 1 3 1 | 29.29 | 100 |
| 0 0 3 | 31.40 | 11 |
| 1 3 2 | 35.72 | 15 |
| 1 3 -3 | 38.01 | 29 |
| 2 0 2 | 38.36 | 19 |
| 3 3 -1 | 44.94 | 36 |
| 0 6 0 | 45.20 | 19 |
| 4 0 0 | 54.54 | 24 |

Crystal structure
```
data_Cs2Ho2TiSe6
_chemical_formula_sum 'Cs4 Ho4 Ti2 Se12'
_cell_length_a 7.003
_cell_length_b 12.035
_cell_length_c 8.898
_cell_angle_alpha 90.00
_cell_angle_beta 106.11
_cell_angle_gamma 90.00
_space_group_name_H-M_alt 'C 1 2/m 1'
_space_group_IT_number 12
_space_group_name_Hall '-C 2y'
loop_
_atom_site_label
_atom_site_fract_x
_atom_site_fract_y
_atom_site_fract_z
Cs1 0.000 0.172 0.000
Ho1 0.000 0.333 0.500
Ti1 0.000 0.000 0.500
Se1 0.218 0.153 0.679
Se2 0.246 0.000 0.323
```

=====

2.
Structure and theoretical X-ray powder pattern of HoZr4Co2 (a crystal structure in Alexandria, relaxed with PBE; λ = 1.5418 Å (Cu Kα)).

Largest 12 diffraction maxima, sorted by position, 2θ from 15° to 90°:
| (hkl) | two_theta | Rel. int. |
| --- | --- | --- |
| 0 2 0 | 29.68 | 42 |
| 1 0 2 | 32.36 | 44 |
| 1 2 0 | 32.91 | 55 |
| 1 2 -1 | 33.67 | 70 |
| 2 0 1 | 34.21 | 41 |
| 2 1 -2 | 34.80 | 86 |
| 1 0 -3 | 36.03 | 45 |
| 2 1 1 | 37.42 | 59 |
| 0 2 2 | 39.17 | 100 |
| 3 0 -1 | 40.45 | 60 |
| 3 1 0 | 45.29 | 30 |
| 0 2 3 | 48.84 | 28 |

Crystal structure
```
data_HoZr4Co2
_chemical_formula_sum 'Ho2 Zr8 Co4'
_cell_length_a 6.697
_cell_length_b 6.020
_cell_length_c 7.494
_cell_angle_alpha 90.00
_cell_angle_beta 108.01
_cell_angle_gamma 90.00
_space_group_name_H-M_alt 'P 1 21/m 1'
_space_group_IT_number 11
_space_group_name_Hall '-P 2yb'
loop_
_atom_site_label
_atom_site_fract_x
_atom_site_fract_y
_atom_site_fract_z
Ho1 0.149 0.250 0.031
Zr1 0.042 0.250 0.416
Zr2 0.241 0.750 0.340
Zr3 0.391 0.002 0.764
Co1 0.300 0.750 0.014
Co2 0.400 0.250 0.419
```

=====

3.
Structure and theoretical X-ray powder pattern of Ba8PRh2 (a crystal structure in Alexandria, relaxed with PBE; λ = 1.5418 Å (Cu Kα)).

Largest 12 diffraction maxima, sorted by position, 2θ from 15° to 90°:
| (hkl) | two_theta | Rel. int. |
| --- | --- | --- |
| 0 0 2 | 22.59 | 16 |
| 4 0 0 | 23.35 | 41 |
| 2 0 -2 | 25.03 | 32 |
| 2 2 -1 | 25.22 | 59 |
| 2 2 1 | 25.67 | 100 |
| 2 0 2 | 25.92 | 14 |
| 4 0 -2 | 32.00 | 24 |
| 4 2 1 | 33.05 | 23 |
| 4 0 2 | 33.42 | 14 |
| 0 4 0 | 39.63 | 54 |
| 6 2 -1 | 41.91 | 24 |
| 6 2 1 | 42.73 | 16 |

Crystal structure
```
data_Ba8PRh2
_chemical_formula_sum 'Ba16 P2 Rh4'
_cell_length_a 15.252
_cell_length_b 9.107
_cell_length_c 7.878
_cell_angle_alpha 90.00
_cell_angle_beta 92.42
_cell_angle_gamma 90.00
_space_group_name_H-M_alt 'C 1 2/m 1'
_space_group_IT_number 12
_space_group_name_Hall '-C 2y'
loop_
_atom_site_label
_atom_site_fract_x
_atom_site_fract_y
_atom_site_fract_z
Ba1 0.111 0.000 0.296
Ba2 0.137 0.275 0.830
Ba3 0.140 0.500 0.292
P1 0.000 0.500 0.000
Rh1 0.224 0.000 0.015
```